Structure and simulated powder XRD pattern of MnOF (the GGA+U geometry in Alexandria; λ = 1.5418 Å (Cu Kα)).

Principal peaks in the range 2θ from 15° to 90°, in order of rising 2θ:
index	2θ (°)	d_spacing	I/Imax
0 1 1	22.31	3.984	100
1 0 1	25.16	3.540	70
1 1 2	36.51	2.461	15
0 0 4	38.04	2.366	25
0 2 0	41.10	2.196	34
2 0 0	47.65	1.909	21
1 2 1	48.80	1.866	20
0 1 5	52.66	1.738	21
2 1 1	53.21	1.721	15
2 2 0	64.71	1.441	14

Structural model:
```
data_MnOF
_symmetry_space_group_name_H-M 'I m m a'
_symmetry_Int_Tables_number 74
_symmetry_space_group_name_Hall '-I 2b 2'
_cell_length_a 3.8173
_cell_length_b 4.3922
_cell_length_c 9.4632
_cell_angle_alpha 90.00
_cell_angle_beta 90.00
_cell_angle_gamma 90.00
loop_
_atom_site_label
_atom_site_type_symbol
_atom_site_fract_x
_atom_site_fract_y
_atom_site_fract_z
Mn1 Mn 0.0000 0.2500 0.1339
O1 O 0.0000 0.2500 0.3358
F1 F 0.0000 0.2500 0.9264
```